(1)
Starting from a structure optimized by DFT (PBE), the powder diffractogram of Rb5ZnSb2 was computed for Cu Kα, 1.54184 Å.
Lines closer than 0.1° are merged.

Atomic structure:
```
data_Rb5ZnSb2
_symmetry_space_group_name_H-M 'R -3 m'
_symmetry_Int_Tables_number 166
_symmetry_space_group_name_Hall '-R 3 2"'
_cell_length_a 6.2172
_cell_length_b 6.2172
_cell_length_c 40.1449
_cell_angle_alpha 90.00
_cell_angle_beta 90.00
_cell_angle_gamma 120.00
loop_
_atom_site_label
_atom_site_type_symbol
_atom_site_fract_x
_atom_site_fract_y
_atom_site_fract_z
Rb1 Rb 0.0000 0.0000 0.0000
Rb2 Rb 0.0000 0.0000 0.1345
Rb3 Rb 0.0000 0.0000 0.2575
Zn1 Zn 0.0000 0.0000 0.5000
Sb1 Sb 0.0000 0.0000 0.4366
```

Principal peaks in the range 15 to 90 degrees two-theta, by angle:
(hkl)	2θ/deg	d/Å	I_rel
1 0 7	22.65	3.925	69
0 1 8	24.25	3.671	15
1 1 0	28.72	3.109	100
0 2 7	36.88	2.437	19
1 0 16	39.62	2.275	34
2 1 7	47.40	1.918	19
0 2 16	49.67	1.835	15
3 0 0	50.88	1.795	20
0 1 23	55.34	1.660	14
2 1 16	58.38	1.581	20

***

(2)
Starting from a structure optimized by DFT (PBE), the powder diffractogram of LaMgS was computed for Cu Kα, 1.54184 Å.
Lines closer than 0.1° are merged.

Atomic structure:
```
data_LaMgS
_symmetry_space_group_name_H-M 'R -3 m'
_symmetry_Int_Tables_number 166
_symmetry_space_group_name_Hall '-R 3 2"'
_cell_length_a 4.9953
_cell_length_b 4.9953
_cell_length_c 23.4451
_cell_angle_alpha 90.00
_cell_angle_beta 90.00
_cell_angle_gamma 120.00
loop_
_atom_site_label
_atom_site_type_symbol
_atom_site_fract_x
_atom_site_fract_y
_atom_site_fract_z
La1 La 0.0000 0.0000 0.0937
Mg1 Mg 0.0000 0.0000 0.3274
S1 S 0.0000 0.0000 0.2174
```

Principal peaks in the range 15 to 90 degrees two-theta, by angle:
(hkl)	2θ/deg	d/Å	I_rel
1 0 1	20.88	4.254	100
0 0 6	22.76	3.908	29
1 0 4	25.59	3.481	35
0 1 5	28.06	3.180	61
1 0 7	33.85	2.648	33
1 1 0	35.96	2.498	81
0 2 1	41.95	2.154	16
1 1 6	42.98	2.104	32
1 0 10	43.93	2.061	23
1 1 9	50.63	1.803	27

***

(3)
Starting from a structure optimized by DFT (PBE), the powder diffractogram of Y2CoC2 was computed for Cu Kα, 1.54184 Å.
Lines closer than 0.1° are merged.

Atomic structure:
```
data_Y2CoC2
_symmetry_space_group_name_H-M 'P n m a'
_symmetry_Int_Tables_number 62
_cell_length_a 6.243
_cell_length_b 5.038
_cell_length_c 9.716
_cell_angle_alpha 90.00
_cell_angle_beta 90.00
_cell_angle_gamma 90.00
loop_
_symmetry_equiv_pos_as_xyz
'x,y,z'
'-x,-y,-z'
'-x+1/2,-y,z+1/2'
'x+1/2,y,-z+1/2'
'x+1/2,-y+1/2,-z+1/2'
'-x+1/2,y+1/2,z+1/2'
'-x,y+1/2,-z'
'x,-y+1/2,z'
loop_
_atom_site_label
_atom_site_type_symbol
_atom_site_fract_x
_atom_site_fract_y
_atom_site_fract_z
Y1 Y 0.017 0.250 0.220
Y2 Y 0.184 0.250 0.554
Co1 Co 0.232 0.250 0.855
C1 C 0.032 0.750 0.239
C2 C 0.190 0.750 0.544
```

Principal peaks in the range 15 to 90 degrees two-theta, by angle:
(hkl)	2θ/deg	d/Å	I_rel
1 0 3	31.11	2.875	21
0 1 3	32.88	2.724	74
2 1 0	33.78	2.653	21
2 0 2	34.14	2.626	45
2 1 1	35.06	2.560	100
0 2 0	35.64	2.519	81
1 1 3	35.97	2.497	43
1 0 4	39.82	2.264	21
2 2 2	50.18	1.818	28
3 1 4	61.50	1.508	19

***

(4)
Starting from a structure optimized by DFT (PBE), the powder diffractogram of VTe2 was computed for Cu Kα, 1.54184 Å.
Lines closer than 0.1° are merged.

Atomic structure:
```
data_VTe2
_symmetry_space_group_name_H-M 'C 1 2/m 1'
_symmetry_Int_Tables_number 12
_cell_length_a 14.762
_cell_length_b 3.576
_cell_length_c 9.368
_cell_angle_alpha 90.00
_cell_angle_beta 112.51
_cell_angle_gamma 90.00
loop_
_symmetry_equiv_pos_as_xyz
'x,y,z'
'-x,-y,-z'
'-x,y,-z'
'x,-y,z'
'x+1/2,y+1/2,z'
'-x+1/2,-y+1/2,-z'
'-x+1/2,y+1/2,-z'
'x+1/2,-y+1/2,z'
loop_
_atom_site_label
_atom_site_type_symbol
_atom_site_fract_x
_atom_site_fract_y
_atom_site_fract_z
V1 V 0.000 0.000 0.000
V2 V 0.138 0.500 0.291
Te1 Te 0.009 0.000 0.301
Te2 Te 0.144 0.500 0.021
Te3 Te 0.209 0.500 0.615
```

Principal peaks in the range 15 to 90 degrees two-theta, by angle:
(hkl)	2θ/deg	d/Å	I_rel
4 0 -2	26.37	3.380	35
0 0 3	31.00	2.885	44
1 1 -2	31.51	2.840	43
4 0 1	31.68	2.825	18
3 1 0	31.84	2.810	100
3 1 -3	39.10	2.304	18
6 0 0	39.65	2.273	27
5 1 -4	49.64	1.836	20
3 1 3	50.39	1.811	34
7 1 1	58.40	1.580	17

***

(5)
Starting from a structure optimized by DFT (PBE), the powder diffractogram of Pr3Zn2Pt6 was computed for Cu Kα, 1.54184 Å.
Lines closer than 0.1° are merged.

Atomic structure:
```
data_Pr3Zn2Pt6
_symmetry_space_group_name_H-M 'I m -3 m'
_symmetry_Int_Tables_number 229
_symmetry_space_group_name_Hall '-I 4 2 3'
_cell_length_a 9.692
_cell_length_b 9.692
_cell_length_c 9.692
_cell_angle_alpha 90.00
_cell_angle_beta 90.00
_cell_angle_gamma 90.00
loop_
_atom_site_label
_atom_site_type_symbol
_atom_site_fract_x
_atom_site_fract_y
_atom_site_fract_z
Pr1 Pr 0.000 0.000 0.301
Zn1 Zn 0.250 0.250 0.250
Pt1 Pt 0.000 0.326 0.326
```

Principal peaks in the range 15 to 90 degrees two-theta, by angle:
(hkl)	2θ/deg	d/Å	I_rel
2 2 0	26.00	3.427	9
3 1 0	29.14	3.065	12
3 2 1	34.63	2.590	28
4 0 0	37.11	2.423	9
3 3 0	39.45	2.284	100
4 2 0	41.68	2.167	9
6 0 0	57.01	1.615	13
5 3 2	58.73	1.572	14
6 3 3	71.54	1.319	30
6 6 0	84.90	1.142	11

***

(6)
Starting from a structure optimized by DFT (PBE), the powder diffractogram of NiAsP2 was computed for Cu Kα, 1.54184 Å.
Lines closer than 0.1° are merged.

Atomic structure:
```
data_NiAsP2
_symmetry_space_group_name_H-M 'F m m m'
_symmetry_Int_Tables_number 69
_symmetry_space_group_name_Hall '-F 2 2'
_cell_length_a 4.844
_cell_length_b 5.217
_cell_length_c 9.093
_cell_angle_alpha 90.00
_cell_angle_beta 90.00
_cell_angle_gamma 90.00
loop_
_atom_site_label
_atom_site_type_symbol
_atom_site_fract_x
_atom_site_fract_y
_atom_site_fract_z
Ni1 Ni 0.000 0.000 0.000
As1 As 0.000 0.000 0.500
P1 P 0.000 0.250 0.250
```

Principal peaks in the range 15 to 90 degrees two-theta, by angle:
(hkl)	2θ/deg	d/Å	I_rel
0 0 2	19.52	4.547	46
0 2 0	34.38	2.608	12
2 0 0	37.12	2.422	61
0 0 4	39.65	2.273	51
0 2 2	39.84	2.262	100
2 0 2	42.28	2.138	14
2 0 4	55.43	1.658	36
2 2 2	55.59	1.653	72
0 2 6	72.08	1.310	16
2 2 6	83.97	1.153	22

***

(7)
Starting from a structure optimized by DFT (PBE), the powder diffractogram of Nb12Br17F13 was computed for Cu Kα, 1.54184 Å.
Lines closer than 0.1° are merged.

Atomic structure:
```
data_Nb12Br17F13
_symmetry_space_group_name_H-M 'P 1'
_symmetry_Int_Tables_number 1
_cell_length_a 10.068
_cell_length_b 10.122
_cell_length_c 13.339
_cell_angle_alpha 68.31
_cell_angle_beta 68.44
_cell_angle_gamma 60.57
loop_
_symmetry_equiv_pos_as_xyz
'x,y,z'
loop_
_atom_site_label
_atom_site_type_symbol
_atom_site_fract_x
_atom_site_fract_y
_atom_site_fract_z
Nb1 Nb 0.000 0.000 0.000
Nb2 Nb 0.018 0.416 0.801
Nb3 Nb 0.128 0.198 0.002
Nb4 Nb 0.216 0.093 0.799
Nb5 Nb 0.299 0.703 0.503
Nb6 Nb 0.391 0.917 0.301
Nb7 Nb 0.500 0.830 0.503
Nb8 Nb 0.520 0.592 0.304
Nb9 Nb 0.624 0.508 0.501
Nb10 Nb 0.717 0.724 0.301
Nb11 Nb 0.803 0.322 0.003
Nb12 Nb 0.890 0.218 0.799
Br1 Br 0.026 0.691 0.653
Br2 Br 0.102 0.956 0.400
Br3 Br 0.166 0.457 0.904
Br4 Br 0.258 0.805 0.899
Br5 Br 0.261 0.190 0.152
Br6 Br 0.267 0.543 0.405
Br7 Br 0.353 0.115 0.401
Br8 Br 0.415 0.054 0.901
Br9 Br 0.492 0.963 0.652
Br10 Br 0.538 0.438 0.163
Br11 Br 0.603 0.362 0.902
Br12 Br 0.757 0.228 0.644
Br13 Br 0.759 0.870 0.403
Br14 Br 0.760 0.610 0.904
Br15 Br 0.852 0.960 0.897
Br16 Br 0.912 0.462 0.399
Br17 Br 0.991 0.729 0.151
F1 F 0.100 0.108 0.692
F2 F 0.115 0.990 0.107
F3 F 0.225 0.304 0.694
F4 F 0.292 0.815 0.610
F5 F 0.406 0.796 0.196
F6 F 0.417 0.494 0.607
F7 F 0.601 0.928 0.193
F8 F 0.614 0.618 0.609
F9 F 0.639 0.376 0.403
F10 F 0.727 0.604 0.198
F11 F 0.794 0.112 0.108
F12 F 0.903 0.426 0.694
F13 F 0.920 0.309 0.110
```

Principal peaks in the range 15 to 90 degrees two-theta, by angle:
(hkl)	2θ/deg	d/Å	I_rel
1 -1 1	18.94	4.687	52
1 2 2	19.06	4.657	34
0 2 2	22.50	3.951	32
1 0 -3	26.59	3.352	27
1 3 -1	31.93	2.802	100
3 1 -1	32.05	2.793	36
2 3 4	32.28	2.773	31
3 2 4	32.38	2.765	33
-2 1 3	36.62	2.454	38
2 -2 3	42.01	2.151	44

***

(8)
Starting from a structure optimized by DFT (PBE), the powder diffractogram of AcPm2Hg7 was computed for Cu Kα, 1.54184 Å.
Lines closer than 0.1° are merged.

Atomic structure:
```
data_AcPm2Hg7
_symmetry_space_group_name_H-M 'P 3 m 1'
_symmetry_Int_Tables_number 156
_cell_length_a 5.2166
_cell_length_b 5.2166
_cell_length_c 12.0502
_cell_angle_alpha 90.00
_cell_angle_beta 90.00
_cell_angle_gamma 120.00
loop_
_symmetry_equiv_pos_as_xyz
'x,y,z'
'-y,x-y,z'
'-x+y,-x,z'
'-y,-x,z'
'-x+y,y,z'
'x,x-y,z'
loop_
_atom_site_label
_atom_site_type_symbol
_atom_site_fract_x
_atom_site_fract_y
_atom_site_fract_z
Ac1 Ac 0.0000 0.0000 0.0000
Pm1 Pm 0.3333 0.6667 0.6593
Pm2 Pm 0.6667 0.3333 0.4323
Hg1 Hg 0.0000 0.0000 0.2959
Hg2 Hg 0.0000 0.0000 0.5641
Hg3 Hg 0.3333 0.6667 0.1542
Hg4 Hg 0.3333 0.6667 0.3983
Hg5 Hg 0.3333 0.6667 0.9022
Hg6 Hg 0.6667 0.3333 0.1400
Hg7 Hg 0.6667 0.3333 0.7957
```

Principal peaks in the range 15 to 90 degrees two-theta, by angle:
(hkl)	2θ/deg	d/Å	I_rel
1 0 3	29.76	3.002	55
1 1 0	34.38	2.608	100
1 0 4	35.83	2.506	55
0 2 3	46.09	1.969	21
0 2 4	50.50	1.807	21
2 1 3	58.76	1.571	16
3 0 0	61.58	1.506	21
2 1 4	62.53	1.485	22
2 2 0	72.47	1.304	21
1 3 4	83.57	1.157	10

***

(9)
Starting from a structure optimized by DFT (PBE), the powder diffractogram of PmY5Ga6 was computed for Cu Kα, 1.54184 Å.
Lines closer than 0.1° are merged.

Atomic structure:
```
data_PmY5Ga6
_symmetry_space_group_name_H-M 'P 1 2/m 1'
_symmetry_Int_Tables_number 10
_cell_length_a 5.080
_cell_length_b 7.184
_cell_length_c 8.033
_cell_angle_alpha 90.00
_cell_angle_beta 108.29
_cell_angle_gamma 90.00
loop_
_symmetry_equiv_pos_as_xyz
'x,y,z'
'-x,-y,-z'
'-x,y,-z'
'x,-y,z'
loop_
_atom_site_label
_atom_site_type_symbol
_atom_site_fract_x
_atom_site_fract_y
_atom_site_fract_z
Pm1 Pm 0.000 0.000 0.000
Y1 Y 0.000 0.500 0.000
Y2 Y 0.333 0.000 0.665
Y3 Y 0.335 0.500 0.671
Ga1 Ga 0.169 0.254 0.338
Ga2 Ga 0.500 0.253 0.000
```

Principal peaks in the range 15 to 90 degrees two-theta, by angle:
(hkl)	2θ/deg	d/Å	I_rel
0 2 0	24.78	3.593	3
1 2 1	35.33	2.541	100
2 0 2	50.79	1.798	12
2 0 -4	50.88	1.795	6
3 2 0	63.40	1.467	29
3 2 -3	63.47	1.466	6
4 0 -2	74.69	1.271	7
2 4 -4	74.78	1.269	4
4 0 1	85.33	1.138	5
1 6 1	85.50	1.136	9

***

(10)
Starting from a structure optimized by DFT (PBE), the powder diffractogram of ZrBeCu was computed for Cu Kα, 1.54184 Å.
Lines closer than 0.1° are merged.

Atomic structure:
```
data_ZrBeCu
_symmetry_space_group_name_H-M 'P -6 m 2'
_symmetry_Int_Tables_number 187
_symmetry_space_group_name_Hall 'P -6 2'
_cell_length_a 3.9909
_cell_length_b 3.9909
_cell_length_c 3.2303
_cell_angle_alpha 90.00
_cell_angle_beta 90.00
_cell_angle_gamma 120.00
loop_
_atom_site_label
_atom_site_type_symbol
_atom_site_fract_x
_atom_site_fract_y
_atom_site_fract_z
Zr1 Zr 0.0000 0.0000 0.0000
Be1 Be 0.6667 0.3333 0.5000
Cu1 Cu 0.3333 0.6667 0.5000
```

Principal peaks in the range 15 to 90 degrees two-theta, by angle:
(hkl)	2θ/deg	d/Å	I_rel
1 0 0	25.78	3.456	43
1 0 1	38.13	2.360	100
1 1 0	45.45	1.995	42
2 0 0	52.99	1.728	6
0 0 2	57.02	1.615	7
2 0 1	60.79	1.524	24
1 0 2	63.59	1.463	6
1 1 2	75.77	1.255	17
2 1 1	79.07	1.211	22
3 0 0	84.00	1.152	6

***

(11)
Starting from a structure optimized by DFT (PBE), the powder diffractogram of La2BeFePt6 was computed for Cu Kα, 1.54184 Å.
Lines closer than 0.1° are merged.

Atomic structure:
```
data_La2BeFePt6
_symmetry_space_group_name_H-M 'R -3 m'
_symmetry_Int_Tables_number 166
_symmetry_space_group_name_Hall '-R 3 2"'
_cell_length_a 5.8261
_cell_length_b 5.8261
_cell_length_c 19.5057
_cell_angle_alpha 90.00
_cell_angle_beta 90.00
_cell_angle_gamma 120.00
loop_
_atom_site_label
_atom_site_type_symbol
_atom_site_fract_x
_atom_site_fract_y
_atom_site_fract_z
La1 La 0.0000 0.0000 0.2186
Be1 Be 0.0000 0.0000 0.0000
Fe1 Fe 0.0000 0.0000 0.5000
Pt1 Pt 0.0117 0.5058 0.2656
```

Principal peaks in the range 15 to 90 degrees two-theta, by angle:
(hkl)	2θ/deg	d/Å	I_rel
0 0 6	27.44	3.251	36
0 1 5	28.93	3.086	16
1 1 3	33.71	2.658	13
2 0 2	36.81	2.442	100
0 2 4	40.25	2.241	68
2 0 8	52.17	1.753	14
2 1 7	58.66	1.574	11
2 2 0	63.91	1.457	22
2 2 6	70.91	1.329	19
0 4 2	76.09	1.251	14

***

(12)
Starting from a structure optimized by DFT (PBE), the powder diffractogram of Pu3In2Bi was computed for Cu Kα, 1.54184 Å.
Lines closer than 0.1° are merged.

Atomic structure:
```
data_Pu3In2Bi
_symmetry_space_group_name_H-M 'P -3 m 1'
_symmetry_Int_Tables_number 164
_symmetry_space_group_name_Hall '-P 3 2"'
_cell_length_a 5.4464
_cell_length_b 5.4464
_cell_length_c 6.6010
_cell_angle_alpha 90.00
_cell_angle_beta 90.00
_cell_angle_gamma 120.00
loop_
_atom_site_label
_atom_site_type_symbol
_atom_site_fract_x
_atom_site_fract_y
_atom_site_fract_z
Pu1 Pu 0.0000 0.0000 0.0000
Pu2 Pu 0.3333 0.6667 0.6255
In1 In 0.3333 0.6667 0.1285
Bi1 Bi 0.0000 0.0000 0.5000
```

Principal peaks in the range 15 to 90 degrees two-theta, by angle:
(hkl)	2θ/deg	d/Å	I_rel
1 1 0	32.89	2.723	100
0 1 2	33.13	2.704	86
1 1 2	43.06	2.101	14
2 0 2	47.38	1.919	32
3 0 0	58.73	1.572	20
1 2 2	58.88	1.569	34
1 0 4	59.33	1.558	18
2 2 0	68.97	1.362	12
3 1 2	78.68	1.216	15
2 1 4	79.07	1.211	16